Record 1
For Ce4Ag, a GGA-PBE-relaxed structure gives the theoretical X-ray powder pattern in this record (copper Kα).
Neutral-atom scattering factors, no anomalous dispersion.

Largest 10 diffraction maxima, sorted by position, 10 to 90 degrees two-theta:
2theta	Rel. int.
29.97	14
33.80	100
34.22	48
35.26	47
36.33	60
49.61	12
49.95	33
59.33	23
62.34	17
71.59	22

Crystal structure
a = 8.313 Å, b = 8.313 Å, c = 8.313 Å
α = 158.95°, β = 144.34°, γ = 41.78°
Positions (direct):
Ce 0.102 0.102 0.000
Ce 0.310 0.810 0.500
Ce 0.690 0.190 0.500
Ce 0.898 0.898 0.000
Ag 0.500 0.500 0.000

***

Record 2
For K2AsPd2, a GGA-PBE-relaxed structure gives the theoretical X-ray powder pattern in this record (copper Kα).
Neutral-atom scattering factors, no anomalous dispersion.

Largest 10 diffraction maxima, sorted by position, 10 to 90 degrees two-theta:
2theta	Rel. int.
16.17	71
30.25	16
32.67	40
34.48	100
43.31	28
45.12	11
46.52	23
55.28	27
59.47	19
60.16	12

Crystal structure
a = 6.607 Å, b = 6.607 Å, c = 5.482 Å
α = 90.00°, β = 90.00°, γ = 90.00°
Positions (direct):
K 0.176 0.324 0.000
K 0.324 0.824 0.000
K 0.676 0.176 0.000
K 0.824 0.676 0.000
As 0.000 0.000 0.500
As 0.500 0.500 0.500
Pd 0.152 0.652 0.500
Pd 0.348 0.152 0.500
Pd 0.652 0.848 0.500
Pd 0.848 0.348 0.500

***

Record 3
For Sr3PmAu4, a GGA-PBE-relaxed structure gives the theoretical X-ray powder pattern in this record (copper Kα).
Neutral-atom scattering factors, no anomalous dispersion.

Largest 10 diffraction maxima, sorted by position, 10 to 90 degrees two-theta:
2theta	Rel. int.
23.49	12
33.46	100
41.29	4
48.05	18
54.15	5
59.82	38
70.30	12
75.28	3
80.14	17
89.68	4

Crystal structure
a = 6.560 Å, b = 6.560 Å, c = 6.560 Å
α = 109.47°, β = 109.47°, γ = 109.47°
Positions (direct):
Sr 0.000 0.500 0.500
Sr 0.500 0.000 0.500
Sr 0.500 0.500 0.000
Pm 0.000 0.000 0.000
Au 0.000 0.000 0.500
Au 0.000 0.500 0.000
Au 0.500 0.000 0.000
Au 0.500 0.500 0.500

***

Record 4
For Tb12PmHo3, a GGA-PBE-relaxed structure gives the theoretical X-ray powder pattern in this record (copper Kα).
Neutral-atom scattering factors, no anomalous dispersion.

Largest 8 diffraction maxima, sorted by position, 10 to 90 degrees two-theta:
2theta	Rel. int.
30.77	100
35.68	51
51.35	36
61.07	43
64.10	12
75.58	6
83.79	18
86.49	17

Crystal structure
a = 5.033 Å, b = 5.033 Å, c = 20.121 Å
α = 90.00°, β = 90.00°, γ = 90.00°
Positions (direct):
Tb 0.000 0.000 0.000
Tb 0.000 0.000 0.249
Tb 0.000 0.000 0.500
Tb 0.000 0.000 0.751
Tb 0.000 0.500 0.125
Tb 0.000 0.500 0.374
Tb 0.000 0.500 0.626
Tb 0.000 0.500 0.875
Tb 0.500 0.000 0.125
Tb 0.500 0.000 0.374
Tb 0.500 0.000 0.626
Tb 0.500 0.000 0.875
Pm 0.500 0.500 0.500
Ho 0.500 0.500 0.000
Ho 0.500 0.500 0.249
Ho 0.500 0.500 0.751